No. 1
Starting from a crystal structure in the Materials Project, relaxed with GGA+U, the powder X-ray diffraction pattern of Ca2Fe9O13 was calculated for a wavelength of 1.5418 Å.
Peak positions follow from Bragg's law for the DFT cell and can differ from measured ones.

Main lines, in order of falling intensity (2θ = 10–80°):
d_spacing	two_theta	I (rel.)
2.633	34.05	100.0
2.188	41.26	47.7
1.530	60.49	33.8
8.417	10.51	32.7
2.582	34.75	31.4
2.142	42.19	30.4
2.225	40.54	28.7
2.553	35.15	27.7
2.093	43.22	25.9
1.323	71.27	22.5

Structure:
Lattice parameters (Å, degrees): 5.3857 5.3857 17.0336 98.43 98.43 33.02
Fractional coordinates of all 24 atoms:
Ca 0.2135 0.2135 0.2282
Ca 0.7865 0.7865 0.7718
Fe 0.0073 0.0073 0.6680
Fe 0.0653 0.0653 0.8779
Fe 0.2482 0.2482 0.5820
Fe 0.3547 0.3547 0.9596
Fe 0.5000 0.5000 0.5000
Fe 0.6453 0.6453 0.0404
Fe 0.7518 0.7518 0.4180
Fe 0.9347 0.9347 0.1221
Fe 0.9927 0.9927 0.3320
O 0.0000 0.0000 0.0000
O 0.1198 0.1198 0.4686
O 0.1196 0.1196 0.7722
O 0.3053 0.3053 0.0768
O 0.3748 0.3748 0.6830
O 0.3927 0.3927 0.3895
O 0.4297 0.4297 0.8551
O 0.5703 0.5703 0.1449
O 0.6073 0.6073 0.6105
O 0.6252 0.6252 0.3170
O 0.6947 0.6947 0.9232
O 0.8804 0.8804 0.2278
O 0.8802 0.8802 0.5314

=====

No. 2
Starting from a crystal structure in the Materials Project, relaxed with GGA+U, the powder X-ray diffraction pattern of Ca2Fe2O5 was calculated for a wavelength of 1.5418 Å.
Peak positions follow from Bragg's law for the DFT cell and can differ from measured ones.

Main lines, in order of falling intensity (2θ = 10–80°):
d_spacing	two_theta	I (rel.)
5.301	16.73	100.0
3.013	29.65	89.4
2.705	33.12	74.2
2.670	33.57	72.7
2.885	31.00	71.8
1.888	48.21	67.0
2.451	36.66	56.8
4.863	18.24	46.5
1.840	49.55	45.0
1.944	46.72	40.7

Structure:
Lattice parameters (Å, degrees): 6.0312 6.5071 6.5306 109.21 96.87 103.22
Fractional coordinates of all 18 atoms:
Ca 0.2160 0.3908 0.4825
Ca 0.2583 0.0117 0.8824
Ca 0.7417 0.9883 0.1176
Ca 0.7840 0.6092 0.5175
Fe 0.1620 0.7023 0.1546
Fe 0.5000 0.0000 0.5000
Fe 0.5000 0.5000 0.0000
Fe 0.8380 0.2977 0.8454
O 0.1412 0.3551 0.0502
O 0.1569 0.7479 0.4781
O 0.2818 0.0320 0.2511
O 0.3445 0.6883 0.8928
O 0.4421 0.2656 0.7019
O 0.5579 0.7344 0.2981
O 0.6555 0.3117 0.1072
O 0.7182 0.9680 0.7489
O 0.8431 0.2521 0.5219
O 0.8588 0.6449 0.9498